Record 1
For U8MnSe17, DFT lattice parameters and positions (PBE) gives the simulated powder XRD pattern in this record (a wavelength of 1.5418 Å).
Neutral-atom scattering factors, no anomalous dispersion.

Principal peaks in the range 5° ≤ 2θ ≤ 70°, low angle first:
h k l, two_theta, intensity
2 2 0, 24.1, 98
2 2 -1, 24.6, 82
0 0 4, 33.5, 100
3 3 -1, 36.5, 81
4 2 -3, 38.6, 83
0 4 0, 41.0, 67

Atomic structure:
```
data_U8MnSe17
_chemical_formula_sum 'U16 Mn2 Se34'
_cell_length_a 13.885
_cell_length_b 8.805
_cell_length_c 10.924
_cell_angle_alpha 90.00
_cell_angle_beta 101.49
_cell_angle_gamma 90.00
_symmetry_space_group_name_H-M 'C 1 2/m 1'
_symmetry_Int_Tables_number 12
loop_
_symmetry_equiv_pos_as_xyz
'x,y,z'
'-x,-y,-z'
'-x,y,-z'
'x,-y,z'
'x+1/2,y+1/2,z'
'-x+1/2,-y+1/2,-z'
'-x+1/2,y+1/2,-z'
'x+1/2,-y+1/2,z'
loop_
_atom_site_label
_atom_site_type_symbol
_atom_site_fract_x
_atom_site_fract_y
_atom_site_fract_z
_atom_site_occupancy
U1 U 0.061 0.241 0.199 1
U2 U 0.179 0.500 0.517 1
U3 U 0.202 0.000 0.958 1
Mn1 Mn 0.000 0.000 0.500 1
Se1 Se 0.000 0.000 0.000 1
Se2 Se 0.020 0.500 0.670 1
Se3 Se 0.057 0.000 0.729 1
Se4 Se 0.127 0.307 0.963 1
Se5 Se 0.136 0.189 0.467 1
Se6 Se 0.199 0.500 0.253 1
Se7 Se 0.214 0.000 0.221 1
```

Record 2
For LaHoSbS, DFT lattice parameters and positions (PBE) gives the simulated powder XRD pattern in this record (a wavelength of 1.5418 Å).
Neutral-atom scattering factors, no anomalous dispersion.

Principal peaks in the range 5° ≤ 2θ ≤ 70°, low angle first:
h k l, two_theta, intensity
0 1 2, 26.0, 75
0 1 5, 31.8, 100
1 0 7, 37.5, 66
1 1 0, 43.7, 55
2 0 5, 55.1, 21
1 1 12, 67.2, 28

Atomic structure:
```
data_LaHoSbS
_chemical_formula_sum 'La3 Ho3 Sb3 S3'
_cell_length_a 4.1448
_cell_length_b 4.1448
_cell_length_c 22.5791
_cell_angle_alpha 90.00
_cell_angle_beta 90.00
_cell_angle_gamma 120.00
_symmetry_space_group_name_H-M 'R 3 m'
_symmetry_Int_Tables_number 160
_symmetry_space_group_name_Hall 'R 3 -2"'
loop_
_atom_site_label
_atom_site_type_symbol
_atom_site_fract_x
_atom_site_fract_y
_atom_site_fract_z
_atom_site_occupancy
La1 La 0.0000 0.0000 0.0000 1
Ho1 Ho 0.0000 0.0000 0.1613 1
Sb1 Sb 0.0000 0.0000 0.5750 1
S1 S 0.0000 0.0000 0.7554 1
```

Record 3
For TeF4, DFT lattice parameters and positions (PBE) gives the simulated powder XRD pattern in this record (a wavelength of 1.5418 Å).
Neutral-atom scattering factors, no anomalous dispersion.

Principal peaks in the range 5° ≤ 2θ ≤ 70°, low angle first:
h k l, two_theta, intensity
1 0 1, 17.8, 34
1 1 0, 21.4, 100
0 1 2, 23.0, 97
1 1 1, 23.1, 32
1 0 2, 23.5, 74
2 1 3, 44.1, 26

Atomic structure:
```
data_TeF4
_chemical_formula_sum 'Te4 F16'
_cell_length_a 5.738
_cell_length_b 6.036
_cell_length_c 10.103
_cell_angle_alpha 90.00
_cell_angle_beta 90.00
_cell_angle_gamma 90.00
_symmetry_space_group_name_H-M 'P 21 21 21'
_symmetry_Int_Tables_number 19
loop_
_symmetry_equiv_pos_as_xyz
'x,y,z'
'-x+1/2,-y,z+1/2'
'x+1/2,-y+1/2,-z'
'-x,y+1/2,-z+1/2'
loop_
_atom_site_label
_atom_site_type_symbol
_atom_site_fract_x
_atom_site_fract_y
_atom_site_fract_z
_atom_site_occupancy
Te1 Te 0.143 0.008 0.381 1
F1 F 0.052 0.728 0.250 1
F2 F 0.125 0.176 0.966 1
F3 F 0.137 0.957 0.744 1
F4 F 0.214 0.733 0.959 1
```

Record 4
For La2PmSmEr, DFT lattice parameters and positions (PBE) gives the simulated powder XRD pattern in this record (a wavelength of 1.5418 Å).
Neutral-atom scattering factors, no anomalous dispersion.

Principal peaks in the range 5° ≤ 2θ ≤ 70°, low angle first:
h k l, two_theta, intensity
2 0 0, 27.3, 22
0 1 2, 28.6, 41
1 2 1, 29.5, 100
1 1 2, 31.8, 25
2 1 1, 32.4, 37
2 0 2, 38.2, 24

Atomic structure:
```
data_La2PmSmEr
_chemical_formula_sum 'La4 Pm2 Sm2 Er2'
_cell_length_a 6.539
_cell_length_b 7.897
_cell_length_c 6.785
_cell_angle_alpha 90.00
_cell_angle_beta 90.00
_cell_angle_gamma 90.00
_symmetry_space_group_name_H-M 'P m m a'
_symmetry_Int_Tables_number 51
loop_
_symmetry_equiv_pos_as_xyz
'x,y,z'
'-x,-y,-z'
'-x+1/2,-y,z'
'x+1/2,y,-z'
'x+1/2,-y,-z'
'-x+1/2,y,z'
'-x,y,-z'
'x,-y,z'
loop_
_atom_site_label
_atom_site_type_symbol
_atom_site_fract_x
_atom_site_fract_y
_atom_site_fract_z
_atom_site_occupancy
La1 La 0.250 0.204 0.215 1
Pm1 Pm 0.250 0.500 0.911 1
Sm1 Sm 0.250 0.000 0.693 1
Er1 Er 0.000 0.500 0.500 1
```

Record 5
For La5Nd8Sc, DFT lattice parameters and positions (PBE) gives the simulated powder XRD pattern in this record (a wavelength of 1.5418 Å).
Neutral-atom scattering factors, no anomalous dispersion.

Principal peaks in the range 5° ≤ 2θ ≤ 70°, low angle first:
h k l, two_theta, intensity
2 2 -2, 28.9, 37
3 1 1, 30.7, 100
5 1 -2, 30.7, 88
2 0 -3, 31.3, 48
1 3 0, 31.5, 27
1 3 -1, 32.5, 24

Atomic structure:
```
data_La5Nd8Sc
_chemical_formula_sum 'La10 Nd16 Sc2'
_cell_length_a 15.748
_cell_length_b 8.712
_cell_length_c 8.770
_cell_angle_alpha 90.00
_cell_angle_beta 123.32
_cell_angle_gamma 90.00
_symmetry_space_group_name_H-M 'C 1 2 1'
_symmetry_Int_Tables_number 5
loop_
_symmetry_equiv_pos_as_xyz
'x,y,z'
'-x,y,-z'
'x+1/2,y+1/2,z'
'-x+1/2,y+1/2,-z'
loop_
_atom_site_label
_atom_site_type_symbol
_atom_site_fract_x
_atom_site_fract_y
_atom_site_fract_z
_atom_site_occupancy
La1 La 0.000 0.000 0.000 1
La2 La 0.047 0.655 0.833 1
La3 La 0.102 0.328 0.235 1
Nd1 Nd 0.127 0.945 0.569 1
Nd2 Nd 0.164 0.553 0.623 1
Nd3 Nd 0.187 0.248 0.945 1
Nd4 Nd 0.200 0.734 0.317 1
Sc1 Sc 0.000 0.273 0.500 1
```

Record 6
For NdYEr2Sc, DFT lattice parameters and positions (PBE) gives the simulated powder XRD pattern in this record (a wavelength of 1.5418 Å).
Neutral-atom scattering factors, no anomalous dispersion.

Principal peaks in the range 5° ≤ 2θ ≤ 70°, low angle first:
h k l, two_theta, intensity
2 1 -1, 31.2, 100
1 1 2, 31.3, 95
0 2 0, 36.1, 64
3 0 1, 36.4, 31
4 0 -2, 52.2, 34
2 3 -1, 61.9, 40

Atomic structure:
```
data_NdYEr2Sc
_chemical_formula_sum 'Nd2 Y2 Er4 Sc2'
_cell_length_a 7.824
_cell_length_b 4.978
_cell_length_c 7.837
_cell_angle_alpha 90.00
_cell_angle_beta 90.35
_cell_angle_gamma 90.00
_symmetry_space_group_name_H-M 'P 1 21/m 1'
_symmetry_Int_Tables_number 11
loop_
_symmetry_equiv_pos_as_xyz
'x,y,z'
'-x,-y,-z'
'-x,y+1/2,-z'
'x,-y+1/2,z'
loop_
_atom_site_label
_atom_site_type_symbol
_atom_site_fract_x
_atom_site_fract_y
_atom_site_fract_z
_atom_site_occupancy
Nd1 Nd 0.244 0.250 0.241 1
Y1 Y 0.445 0.250 0.653 1
Er1 Er 0.147 0.750 0.547 1
Er2 Er 0.341 0.750 0.947 1
Sc1 Sc 0.048 0.250 0.850 1
```